Entry 1:
This entry pairs a crystal structure of NaY9Si6O26 with its simulated PXRD pattern. Radiation: Cu Ka. Structure: a crystal structure in Alexandria, relaxed with GGA-PBE.

a b c (Å): 9.458 9.458 6.821
angles (deg): 90.00 90.00 120.00
Fractional coordinates of all 42 atoms:
Na: 0.000 0.000 0.000
Y: 0.000 0.000 0.508
Y: 0.333 0.667 0.006
Y: 0.333 0.667 0.503
Y: 0.428 0.099 0.757
Y: 0.432 0.331 0.255
Y: 0.669 0.100 0.255
Y: 0.670 0.572 0.757
Y: 0.900 0.568 0.255
Y: 0.901 0.330 0.757
Si: 0.040 0.305 0.256
Si: 0.064 0.704 0.752
Si: 0.265 0.960 0.256
Si: 0.296 0.360 0.752
Si: 0.640 0.936 0.752
Si: 0.695 0.735 0.256
O: 0.008 0.583 0.946
O: 0.014 0.579 0.562
O: 0.066 0.857 0.270
O: 0.143 0.209 0.270
O: 0.164 0.503 0.253
O: 0.188 0.164 0.742
O: 0.196 0.462 0.756
O: 0.266 0.804 0.756
O: 0.332 0.084 0.446
O: 0.339 0.086 0.070
O: 0.339 0.836 0.253
O: 0.417 0.425 0.946
O: 0.421 0.435 0.562
O: 0.497 0.661 0.253
O: 0.538 0.734 0.756
O: 0.565 0.986 0.562
O: 0.575 0.992 0.946
O: 0.667 0.333 0.261
O: 0.667 0.333 0.756
O: 0.747 0.661 0.070
O: 0.752 0.668 0.446
O: 0.791 0.934 0.270
O: 0.836 0.023 0.742
O: 0.914 0.253 0.070
O: 0.916 0.248 0.446
O: 0.977 0.812 0.742

Main lines, low angle first (2θ = 10–80°):
28.35°, I = 27; 28.84°, I = 28; 31.74°, I = 100; 32.36°, I = 38; 32.80°, I = 28; 46.75°, I = 28; 49.75°, I = 33; 52.09°, I = 23

***

Entry 2:
This entry pairs a crystal structure of Th2Mg2Ru3 with its simulated PXRD pattern. Radiation: Cu Ka. Structure: a crystal structure in Alexandria, relaxed with GGA-PBE.

a b c (Å): 7.924 7.924 7.924
angles (deg): 34.95 34.95 34.95
Fractional coordinates of all 7 atoms:
Th: 0.111 0.111 0.111
Th: 0.889 0.889 0.889
Mg: 0.364 0.364 0.364
Mg: 0.636 0.636 0.636
Ru: 0.243 0.243 0.243
Ru: 0.500 0.500 0.500
Ru: 0.757 0.757 0.757

Main lines, low angle first (2θ = 10–80°):
11.91°, I = 77; 21.93°, I = 27; 29.51°, I = 61; 37.81°, I = 100; 39.01°, I = 65; 39.77°, I = 26; 55.45°, I = 23; 69.07°, I = 24